This entry pairs a crystal structure of CrP3O9 with its calculated powder X-ray diffraction pattern. Radiation: Cu Kα (weighted mean of Kα1 and Kα2). Structure: a structure optimized by DFT (PBE+U).
Kinematic intensities with the Lorentz-polarization factor, no thermal factor.

a = 6.325 Å, b = 15.516 Å, c = 8.453 Å
α = 90.00°, β = 105.92°, γ = 90.00°
Space group P2_1/c (No. 14)
Asymmetric unit:
Cr 0.120 0.137 0.374 x4
P 0.151 0.044 0.722 x4
P 0.209 0.161 0.015 x4
P 0.412 0.612 0.211 x4
O 0.052 0.011 0.336 x4
O 0.069 0.154 0.132 x4
O 0.163 0.076 0.904 x4
O 0.175 0.120 0.618 x4
O 0.187 0.238 0.905 x4
O 0.198 0.659 0.148 x4
O 0.370 0.514 0.257 x4
O 0.436 0.112 0.397 x4
O 0.467 0.152 0.111 x4

Most intense lines, 2θ = 10–80°, low angle first:
two_theta  Rel. int.  hkl
14.56  26  1 0 0
15.65  99  1 1 0
15.79  100  0 2 1
16.64  36  1 1 -1
22.60  26  0 1 2
22.93  37  0 4 0
23.46  22  1 1 -2
24.73  22  0 2 2
29.94  27  2 1 0
30.92  18  1 4 1